Diffraction record for LiSm2SO2. The PXRD pattern is computed, not measured: it uses a crystal structure in Alexandria, relaxed with GGA-PBE and copper Kα.

Main lines, most intense first (2θ = 10–90°):
28.42 deg, rel. 100, hkl 0 1 1
35.55 deg, rel. 50, hkl 1 0 2
45.23 deg, rel. 46, hkl 1 1 0
12.03 deg, rel. 28, hkl 0 0 1
59.56 deg, rel. 28, hkl 1 1 3
25.65 deg, rel. 22, hkl 1 0 0

Atomic structure:
Cell: 4.0103 4.0103 7.3567 Å, 90.00 90.00 120.00°
Sites, in units of the cell vectors:
Li1 0.0000 0.0000 0.0000
Sm1 0.0000 0.0000 0.4027
Sm2 0.3333 0.6667 0.7572
S1 0.6667 0.3333 0.0808
O1 0.0000 0.0000 0.7356
O2 0.3333 0.6667 0.4423